[1]
Diffraction record for V2HPt2. The X-ray diffraction stick pattern is calculated, not measured: it uses a DFT-relaxed cell (PBE, Alexandria) and Cu Kα, 1.54184 Å.

Cell and atoms:
Unit cell a=9.6657 b=9.6657 c=9.6657 alpha=157.79 beta=157.79 gamma=31.61
Positions (direct):
V  0.0635  0.3135  0.7500
V  0.3135  0.0635  0.2500
V  0.6865  0.9365  0.7500
V  0.9365  0.6865  0.2500
H  0.1250  0.8750  0.2500
H  0.8750  0.1250  0.7500
Pt  0.1988  0.4488  0.7500
Pt  0.4488  0.1988  0.2500
Pt  0.5512  0.8012  0.7500
Pt  0.8012  0.5512  0.2500

Principal peaks in the range 10 to 90 degrees two-theta, in order of rising 2θ:
2θ = 24.4°, intensity 24
2θ = 28.0°, intensity 80
2θ = 35.4°, intensity 97
2θ = 38.7°, intensity 38
2θ = 45.2°, intensity 100
2θ = 48.9°, intensity 51
2θ = 57.3°, intensity 24
2θ = 64.1°, intensity 34
2θ = 81.1°, intensity 27
2θ = 88.9°, intensity 30



[2]
Diffraction record for Y3HPt8. The X-ray diffraction stick pattern is calculated, not measured: it uses a DFT-relaxed cell (PBE, Alexandria) and Cu Kα, 1.54184 Å.

Cell and atoms:
Unit cell a=9.3611 b=9.3611 c=9.3611 alpha=33.75 beta=33.75 gamma=33.75
Positions (direct):
Y  0.0000  0.0000  0.0000
Y  0.1316  0.1316  0.1316
Y  0.5244  0.5244  0.5244
H  0.7064  0.7064  0.7064
Pt  0.0732  0.0732  0.5663
Pt  0.0732  0.5663  0.0732
Pt  0.0818  0.5689  0.5689
Pt  0.3211  0.3211  0.3211
Pt  0.5663  0.0732  0.0732
Pt  0.5689  0.0818  0.5689
Pt  0.5689  0.5689  0.0818
Pt  0.8222  0.8222  0.8222

Principal peaks in the range 10 to 90 degrees two-theta, in order of rising 2θ:
2θ = 20.0°, intensity 65
2θ = 20.1°, intensity 24
2θ = 38.9°, intensity 100
2θ = 39.1°, intensity 34
2θ = 40.7°, intensity 81
2θ = 40.9°, intensity 24
2θ = 47.4°, intensity 37
2θ = 69.1°, intensity 23
2θ = 69.5°, intensity 20
2θ = 83.6°, intensity 19



[3]
Diffraction record for YH3Pt3. The X-ray diffraction stick pattern is calculated, not measured: it uses a DFT-relaxed cell (PBE, Alexandria) and Cu Kα, 1.54184 Å.

Cell and atoms:
Unit cell a=6.3303 b=6.3303 c=4.7289 alpha=90.00 beta=90.00 gamma=120.00
Positions (direct):
Y  0.3333  0.6667  0.2500
Y  0.6667  0.3333  0.7500
H  0.1079  0.5540  0.7500
H  0.4460  0.5540  0.7500
H  0.4460  0.8921  0.7500
H  0.5540  0.1079  0.2500
H  0.5540  0.4460  0.2500
H  0.8921  0.4460  0.2500
Pt  0.1459  0.2917  0.7500
Pt  0.1459  0.8541  0.7500
Pt  0.2917  0.1459  0.2500
Pt  0.7083  0.8541  0.7500
Pt  0.8541  0.1459  0.2500
Pt  0.8541  0.7083  0.2500

Principal peaks in the range 10 to 90 degrees two-theta, in order of rising 2θ:
2θ = 16.2°, intensity 25
2θ = 32.7°, intensity 24
2θ = 37.9°, intensity 100
2θ = 38.1°, intensity 25
2θ = 47.9°, intensity 11
2θ = 51.0°, intensity 14
2θ = 53.8°, intensity 10
2θ = 58.3°, intensity 15
2θ = 68.7°, intensity 18
2θ = 71.7°, intensity 26



[4]
Diffraction record for Zn2HPt6. The X-ray diffraction stick pattern is calculated, not measured: it uses a DFT-relaxed cell (PBE, Alexandria) and Cu Kα, 1.54184 Å.

Cell and atoms:
Unit cell a=4.6829 b=9.4758 c=7.3383 alpha=90.00 beta=129.09 gamma=90.00
Positions (direct):
Zn  0.0000  0.1387  0.0000
Zn  0.0000  0.8613  0.5000
Zn  0.8619  0.3583  0.4970
Zn  0.8619  0.6417  0.9970
H  0.4396  0.2335  0.6941
H  0.4396  0.7665  0.1941
Pt  0.0933  0.3873  0.2419
Pt  0.0933  0.6127  0.7419
Pt  0.2455  0.0950  0.7497
Pt  0.2455  0.9050  0.2497
Pt  0.3391  0.3509  0.9792
Pt  0.3391  0.6491  0.4792
Pt  0.5116  0.1465  0.5037
Pt  0.5116  0.8535  0.0037
Pt  0.6070  0.4120  0.7444
Pt  0.6070  0.5880  0.2444
Pt  0.7581  0.1130  0.2446
Pt  0.7581  0.8870  0.7446

Principal peaks in the range 10 to 90 degrees two-theta, in order of rising 2θ:
2θ = 24.5°, intensity 20
2θ = 38.0°, intensity 59
2θ = 38.0°, intensity 20
2θ = 38.4°, intensity 41
2θ = 39.7°, intensity 49
2θ = 41.6°, intensity 90
2θ = 41.9°, intensity 100
2θ = 42.8°, intensity 29
2θ = 48.4°, intensity 18
2θ = 65.6°, intensity 19



[5]
Diffraction record for Zn2H2Pt5. The X-ray diffraction stick pattern is calculated, not measured: it uses a DFT-relaxed cell (PBE, Alexandria) and Cu Kα, 1.54184 Å.

Cell and atoms:
Unit cell a=4.7791 b=5.0204 c=5.2232 alpha=91.78 beta=94.77 gamma=91.33
Positions (direct):
Zn  0.1939  0.3222  0.4565
Zn  0.8061  0.6778  0.5435
H  0.3295  0.6874  0.0462
H  0.6705  0.3126  0.9538
Pt  0.0000  0.5000  0.0000
Pt  0.2213  0.0039  0.8560
Pt  0.3079  0.8187  0.3684
Pt  0.6921  0.1813  0.6316
Pt  0.7787  0.9961  0.1440

Principal peaks in the range 10 to 90 degrees two-theta, in order of rising 2θ:
2θ = 17.7°, intensity 39
2θ = 24.3°, intensity 30
2θ = 25.5°, intensity 32
2θ = 39.6°, intensity 25
2θ = 40.4°, intensity 53
2θ = 40.9°, intensity 60
2θ = 41.1°, intensity 26
2θ = 41.9°, intensity 52
2θ = 42.5°, intensity 56
2θ = 44.1°, intensity 100



[6]
Diffraction record for PuH4. The X-ray diffraction stick pattern is calculated, not measured: it uses a DFT-relaxed cell (PBE, Alexandria) and Cu Kα, 1.54184 Å.

Cell and atoms:
Unit cell a=3.6076 b=3.6076 c=3.6076 alpha=106.03 beta=106.03 gamma=116.59
Positions (direct):
Pu  0.0000  0.0000  0.0000
H  0.2127  0.5000  0.7127
H  0.5000  0.2127  0.7127
H  0.5000  0.7873  0.2873
H  0.7873  0.5000  0.2873

Principal peaks in the range 10 to 90 degrees two-theta, in order of rising 2θ:
2θ = 29.1°, intensity 61
2θ = 31.3°, intensity 100
2θ = 41.6°, intensity 24
2θ = 53.0°, intensity 49
2θ = 57.1°, intensity 19
2θ = 65.4°, intensity 13
2θ = 68.3°, intensity 12
2θ = 69.5°, intensity 11
2θ = 84.4°, intensity 13
2θ = 87.8°, intensity 12



[7]
Diffraction record for Pu2H3. The X-ray diffraction stick pattern is calculated, not measured: it uses a DFT-relaxed cell (PBE, Alexandria) and Cu Kα, 1.54184 Å.

Cell and atoms:
Unit cell a=5.8478 b=5.8478 c=5.8478 alpha=120.19 beta=70.60 gamma=146.02
Positions (direct):
Pu  0.1649  0.2466  0.4115
Pu  0.3351  0.7466  0.0817
Pu  0.6649  0.2534  0.9183
Pu  0.8351  0.7534  0.5885
H  0.0497  0.6536  0.7033
H  0.2500  0.2500  0.0000
H  0.4503  0.1536  0.6038
H  0.5497  0.8464  0.3962
H  0.7500  0.7500  0.0000
H  0.9503  0.3464  0.2967

Principal peaks in the range 10 to 90 degrees two-theta, in order of rising 2θ:
2θ = 18.6°, intensity 36
2θ = 30.7°, intensity 49
2θ = 35.8°, intensity 100
2θ = 36.1°, intensity 15
2θ = 49.1°, intensity 39
2θ = 53.6°, intensity 11
2θ = 57.9°, intensity 34
2θ = 63.1°, intensity 13
2θ = 67.0°, intensity 11
2θ = 68.0°, intensity 15



[8]
Diffraction record for Pu2H5. The X-ray diffraction stick pattern is calculated, not measured: it uses a DFT-relaxed cell (PBE, Alexandria) and Cu Kα, 1.54184 Å.

Cell and atoms:
Unit cell a=6.6156 b=6.6156 c=6.6156 alpha=129.57 beta=66.79 gamma=139.21
Positions (direct):
Pu  0.1228  0.2417  0.3646
Pu  0.3772  0.7417  0.1189
Pu  0.6228  0.2583  0.8811
Pu  0.8772  0.7583  0.6354
H  0.0071  0.7500  0.2571
H  0.0828  0.8383  0.9211
H  0.2500  0.7500  0.5000
H  0.4172  0.3383  0.7555
H  0.4929  0.7500  0.7429
H  0.5071  0.2500  0.2571
H  0.5828  0.6617  0.2445
H  0.7500  0.2500  0.5000
H  0.9172  0.1617  0.0789
H  0.9929  0.2500  0.7429

Principal peaks in the range 10 to 90 degrees two-theta, in order of rising 2θ:
2θ = 29.8°, intensity 100
2θ = 31.7°, intensity 21
2θ = 32.4°, intensity 20
2θ = 39.1°, intensity 12
2θ = 46.0°, intensity 16
2θ = 51.2°, intensity 12
2θ = 51.6°, intensity 12
2θ = 55.4°, intensity 18
2θ = 56.2°, intensity 18
2θ = 61.9°, intensity 13